# 1
The following is a computed powder diffractogram of Ca2Tb2Zn3. It was derived from a structure optimized by DFT (PBE), using λ = 1.5418 Å (Cu Kα).
Lines closer than 0.1° are merged.

Top 10 peaks for 2θ = 10–90°, low angle first:
h k l	2θ/deg	Rel. int.
0 0 1	10.43	91.1
1 1 2	24.73	23.4
1 1 -1	26.90	23.9
1 0 3	34.90	100.0
2 1 1	35.61	97.4
2 1 2	37.20	28.2
0 2 -2	50.71	33.8
0 1 -5	62.11	16.5
3 1 4	63.50	33.5
1 4 -1	85.84	11.9

Cell and atoms:
Cell lengths 5.041, 5.043, 8.966 Å; angles 73.68, 73.72, 60.03 degrees
Space group P-1 (No. 2)
Inequivalent atoms, fractional coordinates:
Ca  0.127  0.126  0.120
Tb  0.376  0.376  0.373
Zn  0.000  0.000  0.500
Zn  0.257  0.256  0.730

# 2
The following is a computed powder diffractogram of HfBC. It was derived from a structure optimized by DFT (PBE), using λ = 1.5418 Å (Cu Kα).
Lines closer than 0.1° are merged.

Top 10 peaks for 2θ = 10–90°, low angle first:
h k l	2θ/deg	Rel. int.
1 0 2	27.09	100.0
0 1 1	32.50	34.8
2 0 0	35.63	33.6
1 1 1	37.20	57.2
0 0 4	41.54	23.3
0 1 3	44.14	21.6
1 1 3	47.87	26.7
2 1 1	49.00	23.3
2 0 4	55.86	17.8
2 1 3	57.97	18.7

Cell and atoms:
Cell lengths 5.039, 2.904, 8.695 Å; angles 90.00, 90.00, 90.00 degrees
Space group Pnma (No. 62)
Inequivalent atoms, fractional coordinates:
Hf  0.232  0.250  0.120
B  0.239  0.250  0.396
C  0.155  0.250  0.846

# 3
The following is a computed powder diffractogram of CsBa2InSe4. It was derived from a structure optimized by DFT (PBE), using λ = 1.5418 Å (Cu Kα).
Lines closer than 0.1° are merged.

Top 10 peaks for 2θ = 10–90°, low angle first:
h k l	2θ/deg	Rel. int.
0 2 2	22.84	8.3
2 0 2	23.47	7.6
2 2 0	26.80	100.0
0 4 0	37.43	14.7
2 2 4	38.28	40.4
4 0 0	39.03	13.4
0 4 4	46.66	11.3
4 0 4	48.01	10.4
4 4 0	55.19	9.3
4 4 4	62.45	14.8

Cell and atoms:
Cell lengths 9.230, 9.611, 13.284 Å; angles 90.00, 90.00, 90.00 degrees
Space group Imma (No. 74)
Inequivalent atoms, fractional coordinates:
Cs  0.250  0.250  0.250
Ba  0.000  0.000  0.000
Ba  0.250  0.250  0.750
In  0.000  0.000  0.500
Se  0.000  0.016  0.696
Se  0.243  0.250  0.992

# 4
The following is a computed powder diffractogram of Nd4Sb3As. It was derived from a structure optimized by DFT (PBE), using λ = 1.5418 Å (Cu Kα).
Lines closer than 0.1° are merged.

Top 10 peaks for 2θ = 10–90°, low angle first:
h k l	2θ/deg	Rel. int.
0 2 1	24.42	3.3
2 0 1	28.27	100.0
0 0 2	40.41	75.9
0 4 2	50.05	27.0
4 0 2	58.47	12.6
4 4 2	66.18	28.5
2 0 3	66.26	5.8
0 8 2	73.45	16.6
2 4 3	73.54	8.5
4 8 2	87.38	5.4

Cell and atoms:
Cell lengths 8.939, 12.626, 4.459 Å; angles 90.00, 90.00, 90.00 degrees
Space group Cmmm (No. 65)
Inequivalent atoms, fractional coordinates:
Nd  0.000  0.244  0.000
Nd  0.239  0.000  0.500
Sb  0.000  0.500  0.000
Sb  0.250  0.250  0.500
As  0.000  0.000  0.000

# 5
The following is a computed powder diffractogram of Ac3Ga2Hg4. It was derived from a structure optimized by DFT (PBE), using λ = 1.5418 Å (Cu Kα).
Lines closer than 0.1° are merged.

Top 10 peaks for 2θ = 10–90°, low angle first:
h k l	2θ/deg	Rel. int.
4 0 -1	30.40	74.6
1 1 2	30.57	76.5
0 2 0	36.14	100.0
4 0 2	45.29	15.1
4 2 -1	47.87	21.6
2 0 -5	48.11	22.2
1 1 5	59.50	14.6
1 3 2	61.52	14.2
2 2 -5	61.69	14.3
3 3 -3	65.00	19.5

Cell and atoms:
Cell lengths 11.809, 4.971, 9.464 Å; angles 90.00, 112.26, 90.00 degrees
Space group C2/m (No. 12)
Inequivalent atoms, fractional coordinates:
Ac  0.000  0.000  0.000
Ac  0.164  0.500  0.669
Ga  0.112  0.500  0.280
Hg  0.075  0.000  0.402
Hg  0.205  0.500  0.046

# 6
The following is a computed powder diffractogram of Mg6Tl3In. It was derived from a structure optimized by DFT (PBE), using λ = 1.5418 Å (Cu Kα).
Lines closer than 0.1° are merged.

Top 10 peaks for 2θ = 10–90°, low angle first:
h k l	2θ/deg	Rel. int.
2 2 0	23.39	100.0
4 0 0	33.32	35.5
4 2 2	41.11	46.7
4 4 0	47.84	25.9
6 2 0	53.91	21.4
4 4 4	59.55	8.9
6 4 2	64.87	24.7
8 2 2	74.92	12.3
8 4 0	79.74	11.5
8 4 4	89.22	9.0

Cell and atoms:
Cell lengths 10.756, 10.756, 10.756 Å; angles 90.00, 90.00, 90.00 degrees
Space group Fm-3m (No. 225)
Inequivalent atoms, fractional coordinates:
Mg  0.000  0.000  0.250
Tl  0.000  0.000  0.000
Tl  0.250  0.250  0.250
In  0.000  0.000  0.500

# 7
The following is a computed powder diffractogram of NbBO. It was derived from a structure optimized by DFT (PBE), using λ = 1.5418 Å (Cu Kα).
Lines closer than 0.1° are merged.

Top 10 peaks for 2θ = 10–90°, low angle first:
h k l	2θ/deg	Rel. int.
0 1 1	26.04	98.5
1 0 1	28.96	68.2
0 0 4	31.45	41.8
0 1 3	34.40	65.5
1 0 3	36.73	100.0
1 1 0	37.64	63.3
1 1 4	49.84	94.9
1 2 1	59.62	26.5
1 0 7	64.23	25.3
1 2 3	64.39	25.5

Cell and atoms:
Cell lengths 3.203, 3.589, 11.379 Å; angles 90.00, 90.00, 90.00 degrees
Space group Immm (No. 71)
Inequivalent atoms, fractional coordinates:
Nb  0.000  0.000  0.136
B  0.000  0.252  0.500
O  0.000  0.500  0.221

# 8
The following is a computed powder diffractogram of TiZn2CdTe. It was derived from a structure optimized by DFT (PBE), using λ = 1.5418 Å (Cu Kα).
Lines closer than 0.1° are merged.

Top 10 peaks for 2θ = 10–90°, low angle first:
h k l	2θ/deg	Rel. int.
0 0 1	16.98	18.2
1 0 1	24.10	84.2
1 1 1	29.63	35.8
2 0 0	34.34	100.0
2 1 1	42.39	37.5
2 2 0	49.35	69.4
3 0 1	55.65	16.7
2 2 2	61.50	23.1
3 2 1	67.05	18.9
4 2 0	82.62	29.1

Cell and atoms:
Cell lengths 5.224, 5.224, 5.221 Å; angles 90.00, 90.00, 90.00 degrees
Space group P4/mmm (No. 123)
Inequivalent atoms, fractional coordinates:
Ti  0.000  0.000  0.000
Zn  0.000  0.500  0.500
Cd  0.500  0.500  0.000
Te  0.000  0.000  0.500

# 9
The following is a computed powder diffractogram of Na3Mn2Te4. It was derived from a structure optimized by DFT (PBE), using λ = 1.5418 Å (Cu Kα).
Lines closer than 0.1° are merged.

Top 10 peaks for 2θ = 10–90°, low angle first:
h k l	2θ/deg	Rel. int.
3 1 0	20.45	40.8
2 2 -1	23.63	22.5
2 2 1	24.38	87.2
0 0 2	25.21	100.0
0 4 0	32.39	25.5
3 3 1	33.79	20.1
4 0 -2	34.88	18.5
0 2 3	41.69	31.0
6 2 -1	43.03	21.8
6 2 1	44.36	29.2

Cell and atoms:
Cell lengths 14.159, 11.056, 7.076 Å; angles 90.00, 93.24, 90.00 degrees
Space group C2/c (No. 15)
Inequivalent atoms, fractional coordinates:
Na  0.000  0.107  0.250
Na  0.123  0.372  0.975
Mn  0.207  0.127  0.583
Te  0.110  0.331  0.486
Te  0.153  0.086  0.932

# 10
The following is a computed powder diffractogram of NiW. It was derived from a structure optimized by DFT (PBE), using λ = 1.5418 Å (Cu Kα).
Lines closer than 0.1° are merged.

Top 10 peaks for 2θ = 10–90°, low angle first:
h k l	2θ/deg	Rel. int.
0 1 1	28.13	68.5
1 1 0	41.78	64.6
1 1 -1	42.08	73.4
0 1 2	42.42	100.0
1 0 1	43.65	38.5
0 2 0	44.01	54.2
1 0 -2	44.50	35.1
1 2 1	63.72	25.1
1 2 -2	64.38	23.4
1 3 -1	79.57	21.3

Cell and atoms:
Cell lengths 2.615, 4.115, 5.128 Å; angles 90.00, 103.69, 90.00 degrees
Space group P2_1/m (No. 11)
Inequivalent atoms, fractional coordinates:
Ni  0.061  0.250  0.130
W  0.341  0.250  0.664

# 11
The following is a computed powder diffractogram of TmSiI. It was derived from a structure optimized by DFT (PBE), using λ = 1.5418 Å (Cu Kα).
Lines closer than 0.1° are merged.

Top 10 peaks for 2θ = 10–90°, low angle first:
h k l	2θ/deg	Rel. int.
0 0 2	14.92	36.7
1 1 0	25.21	79.6
2 0 -2	27.04	44.3
1 1 2	30.71	100.0
2 0 2	32.25	19.7
2 0 -4	35.70	43.6
1 1 -4	37.59	87.2
0 2 0	44.19	68.9
4 0 1	54.77	19.3
3 1 5	65.61	23.6

Cell and atoms:
Cell lengths 7.101, 4.099, 12.117 Å; angles 90.00, 101.44, 90.00 degrees
Space group C2/m (No. 12)
Inequivalent atoms, fractional coordinates:
Tm  0.052  0.000  0.154
Si  0.164  0.500  0.991
I  0.224  0.000  0.676